# 1
# Ta2Te5Pd3
Computed powder X-ray diffraction pattern, a wavelength of 1.5418 Å. Input: a structure optimized by DFT (PBE).
Intensities are scaled so that the largest is 1000.

Main lines, sorted by position (2θ = 5–70°):
2θ = 11.88°, I = 1000, (2 0 0); 2θ = 26.53°, I = 171, (2 0 5); 2θ = 26.65°, I = 90, (2 1 0); 2θ = 30.27°, I = 232, (3 1 1); 2θ = 33.20°, I = 239, (3 1 3); 2θ = 35.92°, I = 159, (2 1 5); 2θ = 36.93°, I = 242, (4 1 3); 2θ = 38.75°, I = 98, (1 0 8); 2θ = 41.32°, I = 185, (5 1 3); 2θ = 41.78°, I = 164, (4 1 5); 2θ = 43.67°, I = 105, (6 0 5); 2θ = 48.64°, I = 180, (0 2 0)

Cell and atoms:
Unit cell a=14.900 b=3.744 c=18.819 alpha=90.00 beta=90.00 gamma=90.00
Space group Pnma (No. 62)
One atom of each set of equivalent atoms:
Ta 0.248 0.250 0.168 (multiplicity 4)
Ta 0.249 0.250 0.916 (multiplicity 4)
Te 0.108 0.250 0.438 (multiplicity 4)
Te 0.109 0.250 0.646 (multiplicity 4)
Te 0.116 0.750 0.219 (multiplicity 4)
Te 0.118 0.750 0.864 (multiplicity 4)
Te 0.143 0.250 0.042 (multiplicity 4)
Pd 0.186 0.250 0.310 (multiplicity 4)
Pd 0.190 0.250 0.773 (multiplicity 4)
Pd 0.228 0.250 0.542 (multiplicity 4)

# 2
# Ta2Te8Pd3
Computed powder X-ray diffraction pattern, a wavelength of 1.5418 Å. Input: a structure optimized by DFT (PBE).
Intensities are scaled so that the largest is 1000.

Main lines, sorted by position (2θ = 5–70°):
2θ = 9.28°, I = 310, (1 1 0); 2θ = 13.14°, I = 1000, (1 2 0); 2θ = 24.98°, I = 344, (1 1 1); 2θ = 29.87°, I = 281, (2 2 1); 2θ = 31.80°, I = 510, (0 4 1); 2θ = 33.22°, I = 212, (3 1 1); 2θ = 36.71°, I = 271, (3 3 1); 2θ = 38.99°, I = 235, (5 1 0); 2θ = 39.16°, I = 458, (4 1 1); 2θ = 40.33°, I = 404, (4 2 1); 2θ = 41.06°, I = 472, (1 6 1); 2θ = 47.29°, I = 341, (0 0 2)

Cell and atoms:
Unit cell a=11.661 b=16.518 c=3.844 alpha=90.00 beta=90.00 gamma=90.00
Space group Pbam (No. 55)
One atom of each set of equivalent atoms:
Ta 0.204 0.125 0.000 (multiplicity 4)
Te 0.031 0.158 0.500 (multiplicity 4)
Te 0.058 0.625 0.000 (multiplicity 4)
Te 0.226 0.000 0.500 (multiplicity 4)
Te 0.235 0.291 0.000 (multiplicity 4)
Pd 0.000 0.000 0.500 (multiplicity 2)
Pd 0.137 0.722 0.500 (multiplicity 4)

# 3
# Ta4Te16Pd3
Computed powder X-ray diffraction pattern, a wavelength of 1.5418 Å. Input: a structure optimized by DFT (PBE).
Intensities are scaled so that the largest is 1000.

Main lines, sorted by position (2θ = 5–70°):
2θ = 12.80°, I = 1000, (2 0 1); 2θ = 29.74°, I = 199, (4 0 -6); 2θ = 30.44°, I = 155, (2 0 -6); 2θ = 31.20°, I = 471, (5 1 -2); 2θ = 31.45°, I = 162, (1 1 -4); 2θ = 31.68°, I = 412, (5 1 -1); 2θ = 34.56°, I = 278, (1 1 4); 2θ = 38.60°, I = 163, (5 1 2); 2θ = 39.42°, I = 139, (7 1 -5); 2θ = 44.37°, I = 202, (3 1 5); 2θ = 44.66°, I = 147, (7 1 -7); 2θ = 48.14°, I = 259, (0 2 0)

Cell and atoms:
Unit cell a=21.984 b=3.781 c=18.084 alpha=90.00 beta=118.55 gamma=90.00
Space group C2/m (No. 12)
One atom of each set of equivalent atoms:
Ta 0.082 0.000 0.348 (multiplicity 4)
Ta 0.210 0.000 0.084 (multiplicity 4)
Te 0.017 0.500 0.765 (multiplicity 4)
Te 0.039 0.000 0.621 (multiplicity 4)
Te 0.077 0.000 0.185 (multiplicity 4)
Te 0.104 0.500 0.021 (multiplicity 4)
Te 0.120 0.500 0.481 (multiplicity 4)
Te 0.185 0.500 0.363 (multiplicity 4)
Te 0.191 0.000 0.911 (multiplicity 4)
Te 0.226 0.500 0.748 (multiplicity 4)
Pd 0.000 0.500 0.500 (multiplicity 2)
Pd 0.171 0.500 0.193 (multiplicity 4)

# 4
# TaTe6Pd3
Computed powder X-ray diffraction pattern, a wavelength of 1.5418 Å. Input: a structure optimized by DFT (PBE).
Intensities are scaled so that the largest is 1000.

Main lines, sorted by position (2θ = 5–70°):
2θ = 7.77°, I = 228, (0 0 1); 2θ = 19.29°, I = 233, (2 0 1); 2θ = 28.35°, I = 281, (2 1 0); 2θ = 30.32°, I = 751, (1 1 2); 2θ = 30.44°, I = 245, (2 1 1); 2θ = 31.82°, I = 278, (2 0 -4); 2θ = 32.29°, I = 398, (4 0 -2); 2θ = 33.30°, I = 639, (0 1 3); 2θ = 33.66°, I = 240, (3 1 0); 2θ = 34.33°, I = 244, (2 1 2); 2θ = 42.40°, I = 1000, (1 0 5); 2θ = 47.68°, I = 425, (0 2 0)

Cell and atoms:
Unit cell a=11.469 b=3.815 c=11.695 alpha=90.00 beta=103.49 gamma=90.00
Space group P2_1/m (No. 11)
One atom of each set of equivalent atoms:
Ta 0.195 0.250 0.050 (multiplicity 2)
Te 0.043 0.750 0.898 (multiplicity 2)
Te 0.120 0.250 0.478 (multiplicity 2)
Te 0.209 0.750 0.242 (multiplicity 2)
Te 0.245 0.250 0.813 (multiplicity 2)
Te 0.388 0.750 0.059 (multiplicity 2)
Te 0.440 0.750 0.606 (multiplicity 2)
Pd 0.006 0.250 0.660 (multiplicity 2)
Pd 0.347 0.250 0.455 (multiplicity 2)
Pd 0.414 0.750 0.829 (multiplicity 2)

# 5
# Ta2Tl2Te6Pd
Computed powder X-ray diffraction pattern, a wavelength of 1.5418 Å. Input: a structure optimized by DFT (PBE).
Intensities are scaled so that the largest is 1000.

Main lines, sorted by position (2θ = 5–70°):
2θ = 10.36°, I = 366, (0 0 1); 2θ = 16.92°, I = 202, (1 1 -1); 2θ = 18.08°, I = 162, (0 2 1); 2θ = 29.19°, I = 1000, (1 3 1); 2θ = 30.70°, I = 624, (2 0 -2); 2θ = 34.61°, I = 138, (2 2 1); 2θ = 37.85°, I = 186, (2 0 2); 2θ = 38.96°, I = 347, (1 3 -3); 2θ = 40.02°, I = 169, (1 5 0); 2θ = 44.10°, I = 161, (1 5 -2); 2θ = 46.52°, I = 326, (3 3 -1); 2θ = 55.97°, I = 181, (4 0 0)

Cell and atoms:
Unit cell a=6.720 b=11.990 c=8.726 alpha=90.00 beta=101.95 gamma=90.00
Space group C2/m (No. 12)
One atom of each set of equivalent atoms:
Ta 0.000 0.129 0.000 (multiplicity 4)
Tl 0.000 0.303 0.500 (multiplicity 4)
Te 0.207 0.320 0.174 (multiplicity 8)
Te 0.241 0.000 0.226 (multiplicity 4)
Pd 0.000 0.500 0.000 (multiplicity 2)

# 6
# Th3TaPd12
Computed powder X-ray diffraction pattern, a wavelength of 1.5418 Å. Input: a structure optimized by DFT (PBE).
Intensities are scaled so that the largest is 1000.

Main lines, sorted by position (2θ = 5–70°):
2θ = 21.18°, I = 77, (1 0 0); 2θ = 21.70°, I = 37, (0 0 4); 2θ = 30.13°, I = 33, (1 1 0); 2θ = 30.50°, I = 62, (1 0 4); 2θ = 37.43°, I = 1000, (1 1 4); 2θ = 43.13°, I = 349, (2 0 0); 2θ = 44.23°, I = 143, (0 0 8); 2θ = 48.52°, I = 20, (2 1 0); 2θ = 48.78°, I = 20, (2 0 4); 2θ = 53.74°, I = 28, (2 1 4); 2θ = 62.63°, I = 115, (2 2 0); 2θ = 63.49°, I = 192, (2 0 8)

Cell and atoms:
Unit cell a=4.195 b=4.195 c=16.382 alpha=90.00 beta=90.00 gamma=90.00
Space group P4/mmm (No. 123)
One atom of each set of equivalent atoms:
Th 0.000 0.000 0.000 (multiplicity 1)
Th 0.000 0.000 0.260 (multiplicity 2)
Ta 0.000 0.000 0.500 (multiplicity 1)
Pd 0.000 0.500 0.129 (multiplicity 4)
Pd 0.000 0.500 0.387 (multiplicity 4)
Pd 0.500 0.500 0.000 (multiplicity 1)
Pd 0.500 0.500 0.258 (multiplicity 2)
Pd 0.500 0.500 0.500 (multiplicity 1)